# La5PmY
Computed PXRD pattern, λ = 1.5418 Å (Cu Kα). Input: a structure optimized by DFT (GGA-PBE).

Crystal structure
```
data_La5PmY
_cell_length_a 12.220
_cell_length_b 7.030
_cell_length_c 12.772
_cell_angle_alpha 90.00
_cell_angle_beta 112.59
_cell_angle_gamma 90.00
_symmetry_space_group_name_H-M 'C 1 2/c 1'
_symmetry_Int_Tables_number 15
_symmetry_space_group_name_Hall '-C 2yc'
loop_
_atom_site_label
_atom_site_type_symbol
_atom_site_fract_x
_atom_site_fract_y
_atom_site_fract_z
La1 La 0.000 0.076 0.250
La2 La 0.079 0.234 0.003
La3 La 0.219 0.133 0.750
Pm1 Pm 0.250 0.250 0.500
Y1 Y 0.000 0.473 0.750
```

Largest 10 diffraction maxima, in order of rising 2θ, 2θ = 15–90°:
Position (°2θ), I_rel, (hkl)
25.3, 22, 0 2 0
28.7, 50, 3 1 -3
29.4, 28, 4 0 -2
29.6, 43, 0 2 2
30.3, 100, 0 0 4
31.7, 12, 4 0 0
32.4, 21, 2 2 1
33.8, 19, 2 2 -3
44.6, 22, 3 3 -1
53.4, 17, 6 2 -4